# 1
Calculated X-ray diffraction stick pattern of MgMn6Nb4O18 for CuKα, from a structure optimized by DFT (PBE+U).
Lines closer than 0.1° are merged.

Principal peaks in the range 15 to 90 degrees two-theta, by angle:
| 2θ/deg | I/Imax | (hkl) |
| --- | --- | --- |
| 18.76 | 46.3 | 1 0 -1 |
| 18.98 | 44.9 | 0 1 -1 |
| 19.26 | 35.8 | 1 -1 0 |
| 21.07 | 47.1 | 1 0 1 |
| 21.73 | 29.1 | -1 1 2 |
| 23.93 | 23.7 | 0 0 4 |
| 32.13 | 100.0 | 1 1 -1 |
| 32.31 | 96.9 | 1 -1 4 |
| 33.13 | 33.1 | 1 -2 0 |
| 33.27 | 49.5 | -2 1 1 |
| 46.22 | 38.1 | 2 0 3 |
| 58.16 | 26.5 | 3 0 -2 |

Structure:
abc: 5.389 5.413 15.180
angles: 90.82 99.78 117.92
Space group P1 (No. 1)
One atom of each set of equivalent atoms:
Mg1 0.000 0.000 0.000
Mn1 0.167 0.664 0.564
Mn2 0.364 0.750 0.845
Mn3 0.445 0.714 0.056
Mn4 0.816 0.992 0.539
Mn5 0.842 0.389 0.106
Mn6 0.976 0.508 0.359
Nb1 0.246 0.088 0.202
Nb2 0.348 0.222 0.398
Nb3 0.568 0.369 0.673
Nb4 0.740 0.440 0.873
O1 0.079 0.243 0.288
O2 0.091 0.927 0.457
O3 0.152 0.784 0.938
O4 0.207 0.344 0.108
O5 0.208 0.327 0.616
O6 0.215 0.842 0.298
O7 0.329 0.546 0.446
O8 0.438 0.114 0.793
O9 0.510 0.049 0.138
O10 0.540 0.040 0.615
O11 0.578 0.630 0.944
O12 0.579 0.646 0.779
O13 0.602 0.398 0.292
O14 0.738 0.279 0.447
O15 0.781 0.213 0.967
O16 0.813 0.649 0.609
O17 0.904 0.791 0.115
O18 0.960 0.474 0.780

=====

# 2
Calculated X-ray diffraction stick pattern of Li3Mn3CrO8 for CuKα, from a structure optimized by DFT (PBE+U).
Lines closer than 0.1° are merged.

Principal peaks in the range 15 to 90 degrees two-theta, by angle:
| 2θ/deg | I/Imax | (hkl) |
| --- | --- | --- |
| 18.67 | 100.0 | 0 0 2 |
| 19.54 | 68.3 | 1 1 -1 |
| 19.76 | 55.1 | 1 1 1 |
| 19.92 | 73.5 | 0 2 1 |
| 35.85 | 49.4 | 2 0 2 |
| 36.13 | 74.7 | 2 2 -1 |
| 36.37 | 45.2 | 2 2 1 |
| 45.17 | 53.4 | 2 2 -3 |
| 45.77 | 48.9 | 2 2 3 |
| 45.98 | 51.0 | 0 4 3 |
| 61.02 | 56.6 | 2 2 5 |
| 63.51 | 54.6 | 2 6 0 |

Structure:
abc: 5.964 10.091 9.509
angles: 90.00 90.86 90.00
Space group Cc (No. 9)
One atom of each set of equivalent atoms:
Li1 0.000 0.089 0.000
Li2 0.019 0.409 0.503
Li3 0.268 0.169 0.502
Mn1 0.011 0.087 0.730
Mn2 0.017 0.412 0.231
Mn3 0.265 0.164 0.234
Cr1 0.261 0.340 0.955
O1 0.007 0.067 0.353
O2 0.045 0.261 0.103
O3 0.239 0.005 0.121
O4 0.262 0.165 0.842
O5 0.264 0.485 0.108
O6 0.292 0.323 0.347
O7 0.497 0.267 0.093
O8 0.499 0.072 0.353

=====

# 3
Calculated X-ray diffraction stick pattern of LiFePO5 for CuKα, from a structure optimized by DFT (PBE+U).
Lines closer than 0.1° are merged.

Principal peaks in the range 15 to 90 degrees two-theta, by angle:
| 2θ/deg | I/Imax | (hkl) |
| --- | --- | --- |
| 16.23 | 100.0 | 1 0 1 |
| 18.33 | 34.3 | 0 1 1 |
| 23.42 | 33.8 | 2 0 0 |
| 25.54 | 17.5 | 1 0 2 |
| 26.06 | 29.6 | 2 0 1 |
| 32.80 | 31.3 | 2 0 2 |
| 33.45 | 67.1 | 1 2 1 |
| 36.30 | 15.9 | 1 0 3 |
| 39.06 | 19.6 | 1 2 2 |
| 47.96 | 22.4 | 3 2 1 |
| 53.60 | 17.3 | 4 0 2 |
| 58.98 | 24.6 | 3 2 3 |

Structure:
abc: 7.598 6.148 7.853
angles: 90.00 90.00 90.00
Space group Pnma (No. 62)
One atom of each set of equivalent atoms:
Li1 0.143 0.250 0.169
Fe1 0.000 0.000 0.500
P1 0.131 0.750 0.164
O1 0.017 0.250 0.962
O2 0.105 0.750 0.594
O3 0.124 0.542 0.278
O4 0.184 0.250 0.573

=====

# 4
Calculated X-ray diffraction stick pattern of Na3Li3Fe2P2C2O14 for CuKα, from a structure optimized by DFT (PBE+U).
Lines closer than 0.1° are merged.

Principal peaks in the range 15 to 90 degrees two-theta, by angle:
| 2θ/deg | I/Imax | (hkl) |
| --- | --- | --- |
| 16.67 | 29.8 | 1 1 0 |
| 19.86 | 31.1 | 0 1 -2 |
| 20.60 | 33.4 | 0 1 2 |
| 26.38 | 35.6 | 0 2 -2 |
| 26.56 | 100.0 | 2 0 0 |
| 30.77 | 25.0 | 0 3 0 |
| 33.70 | 55.7 | 2 2 0 |
| 35.33 | 47.2 | 0 0 4 |
| 36.42 | 20.7 | 0 1 -4 |
| 38.82 | 23.5 | 1 3 2 |
| 49.91 | 29.1 | 2 4 0 |
| 54.70 | 25.0 | 4 0 0 |

Structure:
abc: 6.713 8.722 10.171
angles: 92.40 90.58 90.08
Space group P1 (No. 1)
One atom of each set of equivalent atoms:
Na1 0.000 0.000 0.000
Na2 0.001 0.484 0.756
Na3 0.496 0.004 0.499
Na4 0.499 0.002 0.005
Na5 0.756 0.831 0.249
Na6 0.999 0.490 0.252
Li1 0.259 0.645 0.507
Li2 0.266 0.642 0.004
Li3 0.472 0.465 0.245
Li4 0.482 0.468 0.753
Li5 0.739 0.837 0.747
Li6 0.963 0.034 0.517
Fe1 0.243 0.103 0.246
Fe2 0.248 0.092 0.737
Fe3 0.741 0.392 0.017
Fe4 0.741 0.406 0.519
P1 0.245 0.339 0.486
P2 0.252 0.336 0.986
P3 0.742 0.154 0.771
P4 0.745 0.164 0.277
C1 0.259 0.788 0.263
C2 0.261 0.785 0.765
C3 0.744 0.683 0.976
C4 0.762 0.706 0.498
O1 0.061 0.432 0.012
O2 0.061 0.441 0.517
O3 0.227 0.177 0.542
O4 0.244 0.903 0.349
O5 0.245 0.898 0.854
O6 0.248 0.179 0.052
O7 0.252 0.814 0.139
O8 0.260 0.817 0.641
O9 0.270 0.320 0.334
O10 0.276 0.646 0.804
O11 0.278 0.308 0.834
O12 0.279 0.650 0.306
O13 0.425 0.433 0.545
O14 0.425 0.439 0.042
O15 0.562 0.048 0.733
O16 0.562 0.061 0.242
O17 0.725 0.577 0.882
O18 0.726 0.324 0.217
O19 0.728 0.313 0.709
O20 0.744 0.606 0.398
O21 0.748 0.826 0.948
O22 0.752 0.178 0.924
O23 0.755 0.657 0.616
O24 0.758 0.639 0.096
O25 0.765 0.187 0.430
O26 0.782 0.851 0.477
O27 0.929 0.062 0.722
O28 0.930 0.074 0.224